[1]
Calculated X-ray powder pattern
Compound: CaGa2Cu2Ge
Radiation: copper Kα
Structure: a cell relaxed with PBE
Intensities are scaled so that the largest is 100.

Most intense lines, 2θ from 10° to 90°, by angle:
15.3°, I 80; 27.4°, I 25; 31.6°, I 30; 36.7°, I 100; 39.2°, I 98; 41.8°, I 28; 42.3°, I 25; 54.8°, I 61; 56.6°, I 32; 78.2°, I 23

Atomic structure:
abc: 4.6009 4.6009 5.7754
angles: 90.00 90.00 90.00
Element x y z (fractional)
Ca1 0.0000 0.0000 0.0000
Ga1 0.5000 0.5000 0.2389
Ga2 0.5000 0.5000 0.7611
Cu1 0.0000 0.5000 0.5000
Cu2 0.5000 0.0000 0.5000
Ge1 0.0000 0.0000 0.5000


[2]
Calculated X-ray powder pattern
Compound: RbIn8Ir2
Radiation: copper Kα
Structure: a cell relaxed with PBE
Intensities are scaled so that the largest is 100.

Most intense lines, 2θ from 10° to 90°, by angle:
12.3°, I 43; 17.1°, I 58; 28.7°, I 38; 32.1°, I 60; 34.8°, I 51; 36.2°, I 100; 37.5°, I 51; 37.8°, I 42; 39.2°, I 42; 44.5°, I 43

Atomic structure:
abc: 7.5254 7.5254 5.2985
angles: 97.11 97.11 104.30
Element x y z (fractional)
Rb1 0.0000 0.0000 0.0000
In1 0.0887 0.3454 0.5821
In2 0.2828 0.7172 0.0000
In3 0.3454 0.0887 0.5821
In4 0.4023 0.4023 0.2272
In5 0.5977 0.5977 0.7728
In6 0.6546 0.9113 0.4179
In7 0.7172 0.2828 0.0000
In8 0.9113 0.6546 0.4179
Ir1 0.2912 0.7088 0.5000
Ir2 0.7088 0.2912 0.5000


[3]
Calculated X-ray powder pattern
Compound: AcZnPPt6
Radiation: copper Kα
Structure: a cell relaxed with PBE
Intensities are scaled so that the largest is 100.

Most intense lines, 2θ from 10° to 90°, by angle:
27.6°, I 14; 31.4°, I 37; 32.0°, I 100; 35.3°, I 18; 41.3°, I 32; 45.4°, I 75; 50.1°, I 20; 52.8°, I 16; 66.8°, I 15; 69.4°, I 13

Atomic structure:
abc: 8.0559 8.0559 8.0559
angles: 126.21 114.23 89.93
Element x y z (fractional)
Ac1 0.4044 0.1544 0.2500
Ac2 0.5956 0.8456 0.7500
Zn1 0.0000 0.0000 0.5000
Zn2 0.0000 0.5000 0.0000
P1 0.0000 0.5000 0.5000
P2 0.5000 0.5000 0.0000
Pt1 0.1089 0.3812 0.2409
Pt2 0.1089 0.8681 0.7277
Pt3 0.1452 0.8952 0.2500
Pt4 0.3234 0.5734 0.7500
Pt5 0.3596 0.1319 0.7409
Pt6 0.3596 0.6188 0.2277
Pt7 0.6404 0.3812 0.7723
Pt8 0.6404 0.8681 0.2591
Pt9 0.6766 0.4266 0.2500
Pt10 0.8548 0.1048 0.7500
Pt11 0.8911 0.1319 0.2723
Pt12 0.8911 0.6188 0.7591


[4]
Calculated X-ray powder pattern
Compound: KLiNb4O12
Radiation: copper Kα
Structure: a cell relaxed with PBE
Intensities are scaled so that the largest is 100.

Most intense lines, 2θ from 10° to 90°, by angle:
22.2°, I 100; 31.6°, I 63; 45.3°, I 32; 51.0°, I 38; 56.3°, I 25; 66.0°, I 18; 70.5°, I 17; 75.0°, I 11; 83.6°, I 6; 87.9°, I 8

Atomic structure:
abc: 5.6648 5.6648 8.0063
angles: 90.00 90.00 90.00
Element x y z (fractional)
K1 0.0000 0.0000 0.0000
Li1 0.5000 0.5000 0.5000
Nb1 0.0000 0.5000 0.2513
Nb2 0.0000 0.5000 0.7487
Nb3 0.5000 0.0000 0.2513
Nb4 0.5000 0.0000 0.7487
O1 0.0000 0.5000 0.0000
O2 0.0000 0.5000 0.5000
O3 0.2520 0.2520 0.2552
O4 0.2520 0.2520 0.7448
O5 0.2520 0.7480 0.2552
O6 0.2520 0.7480 0.7448
O7 0.5000 0.0000 0.0000
O8 0.5000 0.0000 0.5000
O9 0.7480 0.2520 0.2552
O10 0.7480 0.2520 0.7448
O11 0.7480 0.7480 0.2552
O12 0.7480 0.7480 0.7448